Record 1
# CsK2NbP2O8
Simulated powder X-ray diffraction pattern, λ = 1.5418 Å (Cu Kα). Input: a GGA-PBE-relaxed structure.
Lines closer than 0.1° are merged.

Top 10 peaks for 2θ from 10° to 90°, in order of falling intensity:
- (1 0 2), 29.67 deg, I 100
- (1 1 0), 32.28 deg, I 69
- (2 0 2), 44.41 deg, I 40
- (1 0 0), 18.47 deg, I 38
- (1 2 2), 55.96 deg, I 29
- (1 1 4), 58.19 deg, I 23
- (1 3 2), 75.48 deg, I 13
- (3 0 0), 57.56 deg, I 12
- (2 2 0), 67.55 deg, I 12
- (3 0 4), 77.41 deg, I 10

Cell lengths 5.5467, 5.5467, 7.7282 Å; angles 90.00, 90.00, 120.00 degrees
Space group P-3m1 (No. 164)
Unique sites:
Cs (0.0000, 0.0000, 0.0000)
K (0.3333, 0.6667, 0.7377)
Nb (0.0000, 0.0000, 0.5000)
P (0.3333, 0.6667, 0.2708)
O (0.1814, 0.3628, 0.3407)
O (0.3333, 0.6667, 0.0743)



Record 2
# DyYPBr2
Simulated powder X-ray diffraction pattern, λ = 1.5418 Å (Cu Kα). Input: a GGA-PBE-relaxed structure.
Lines closer than 0.1° are merged.

Top 10 peaks for 2θ from 10° to 90°, in order of falling intensity:
- (1 0 2), 30.60 deg, I 100
- (1 1 0), 45.30 deg, I 30
- (0 1 4), 42.30 deg, I 27
- (1 0 0), 25.69 deg, I 24
- (1 0 3), 35.87 deg, I 21
- (0 2 2), 55.66 deg, I 18
- (0 0 2), 16.33 deg, I 16
- (2 1 2), 74.48 deg, I 15
- (0 1 5), 49.54 deg, I 12
- (1 1 7), 77.94 deg, I 8

Cell lengths 4.0037, 4.0037, 10.8531 Å; angles 90.00, 90.00, 120.00 degrees
Space group P3m1 (No. 156)
Unique sites:
Dy (0.0000, 0.0000, 0.0000)
Y (0.6667, 0.3333, 0.7199)
P (0.3333, 0.6667, 0.8605)
Br (0.0000, 0.0000, 0.5512)
Br (0.6667, 0.3333, 0.1681)



Record 3
# Cu2Ag7
Simulated powder X-ray diffraction pattern, λ = 1.5418 Å (Cu Kα). Input: a GGA-PBE-relaxed structure.
Lines closer than 0.1° are merged.

Top 10 peaks for 2θ from 10° to 90°, in order of falling intensity:
- (1 1 0), 38.44 deg, I 100
- (1 0 9), 44.39 deg, I 32
- (2 1 9), 77.73 deg, I 23
- (1 2 9), 65.26 deg, I 19
- (0 2 0), 45.26 deg, I 15
- (1 3 0), 78.98 deg, I 11
- (2 2 0), 82.35 deg, I 10
- (2 0 0), 64.64 deg, I 5
- (0 0 18), 64.53 deg, I 5
- (0 1 5), 28.11 deg, I 2

Cell lengths 2.8840, 4.0075, 25.9947 Å; angles 90.00, 90.00, 90.00 degrees
Space group Immm (No. 71)
Unique sites:
Cu (0.0000, 0.0000, 0.1108)
Ag (0.0000, 0.0000, 0.0000)
Ag (0.0000, 0.0000, 0.2206)
Ag (0.0000, 0.0000, 0.3363)
Ag (0.0000, 0.0000, 0.4422)



Record 4
# TlTeIrAuS2
Simulated powder X-ray diffraction pattern, λ = 1.5418 Å (Cu Kα). Input: a GGA-PBE-relaxed structure.
Lines closer than 0.1° are merged.

Top 10 peaks for 2θ from 10° to 90°, in order of falling intensity:
- (0 0 4), 34.93 deg, I 100
- (1 3 1), 31.24 deg, I 98
- (1 3 0), 29.98 deg, I 71
- (0 2 2), 20.57 deg, I 59
- (1 3 3), 40.08 deg, I 43
- (1 3 4), 46.65 deg, I 42
- (2 0 4), 62.99 deg, I 36
- (0 0 2), 17.24 deg, I 36
- (1 9 2), 61.14 deg, I 30
- (0 2 0), 11.13 deg, I 27

Cell lengths 3.6053, 15.8987, 10.2854 Å; angles 90.00, 90.00, 90.00 degrees
Space group Cmcm (No. 63)
Unique sites:
Tl (0.0000, 0.2251, 0.2500)
Te (0.0000, 0.4502, 0.7500)
Ir (0.0000, 0.5000, 0.0000)
Au (0.0000, 0.1205, 0.7500)
S (0.0000, 0.0995, 0.5221)



Record 5
# TmH3
Simulated powder X-ray diffraction pattern, λ = 1.5418 Å (Cu Kα). Input: a GGA-PBE-relaxed structure.
Lines closer than 0.1° are merged.

Top 10 peaks for 2θ from 10° to 90°, in order of falling intensity:
- (0 1 2), 25.07 deg, I 100
- (1 0 4), 31.48 deg, I 57
- (1 1 0), 39.60 deg, I 30
- (1 1 6), 52.30 deg, I 28
- (2 0 2), 47.45 deg, I 18
- (0 0 6), 32.76 deg, I 16
- (0 1 8), 50.15 deg, I 16
- (1 2 2), 63.46 deg, I 15
- (0 2 4), 51.44 deg, I 14
- (2 1 4), 66.81 deg, I 13

Cell lengths 4.5513, 4.5513, 16.4043 Å; angles 90.00, 90.00, 120.00 degrees
Space group R-3c (No. 167, hexagonal axes)
Unique sites:
Tm (0.0000, 0.0000, 0.0000)
H (0.0000, 0.3109, 0.2500)



Record 6
# Ag15Sn
Simulated powder X-ray diffraction pattern, λ = 1.5418 Å (Cu Kα). Input: a GGA-PBE-relaxed structure.
Lines closer than 0.1° are merged.

Top 10 peaks for 2θ from 10° to 90°, in order of falling intensity:
- (1 10 1), 37.09 deg, I 100
- (1 11 1), 38.27 deg, I 93
- (2 0 0), 44.40 deg, I 31
- (0 0 2), 44.28 deg, I 29
- (0 21 0), 42.66 deg, I 27
- (0 21 2), 63.17 deg, I 16
- (2 21 0), 63.26 deg, I 16
- (1 11 3), 77.54 deg, I 12
- (1 31 1), 73.68 deg, I 11
- (1 32 1), 75.93 deg, I 11

Cell lengths 4.0819, 44.5055, 4.0919 Å; angles 90.00, 90.12, 90.00 degrees
Space group P2/c (No. 13)
Unique sites:
Ag (0.0000, 0.0234, 0.2500)
Ag (0.0000, 0.0707, 0.7500)
Ag (0.0000, 0.1184, 0.2500)
Ag (0.0000, 0.1655, 0.7500)
Ag (0.0000, 0.2132, 0.2500)
Ag (0.0000, 0.2609, 0.7500)
Ag (0.0000, 0.3089, 0.2500)
Ag (0.0000, 0.3571, 0.7500)
Ag (0.5000, 0.0234, 0.7500)
Ag (0.5000, 0.0707, 0.2500)
Ag (0.5000, 0.1184, 0.7500)
Ag (0.5000, 0.1658, 0.2500)
Ag (0.5000, 0.2133, 0.7500)
Ag (0.5000, 0.2613, 0.2500)
Ag (0.5000, 0.3089, 0.7500)
Sn (0.5000, 0.3619, 0.2500)



Record 7
# SbPt9
Simulated powder X-ray diffraction pattern, λ = 1.5418 Å (Cu Kα). Input: a GGA-PBE-relaxed structure.
Lines closer than 0.1° are merged.

Top 10 peaks for 2θ from 10° to 90°, in order of falling intensity:
- (1 1 0), 38.96 deg, I 100
- (0 1 14), 39.93 deg, I 68
- (1 0 14), 45.23 deg, I 48
- (1 2 14), 67.36 deg, I 30
- (0 1 13), 38.01 deg, I 26
- (0 2 0), 47.10 deg, I 25
- (2 1 14), 78.63 deg, I 19
- (1 0 13), 43.50 deg, I 18
- (2 0 0), 64.53 deg, I 16
- (2 2 0), 83.65 deg, I 16

Cell lengths 2.8892, 3.8584, 38.9738 Å; angles 90.00, 90.00, 90.00 degrees
Space group Pmmn (No. 59, origin choice 2)
Unique sites:
Sb (0.2500, 0.2500, 0.1542)
Pt (0.2500, 0.2500, 0.2290)
Pt (0.2500, 0.2500, 0.3015)
Pt (0.2500, 0.2500, 0.3740)
Pt (0.2500, 0.2500, 0.4461)
Pt (0.2500, 0.2500, 0.5181)
Pt (0.2500, 0.2500, 0.5899)
Pt (0.2500, 0.2500, 0.6621)
Pt (0.2500, 0.2500, 0.7346)
Pt (0.2500, 0.2500, 0.8101)



Record 8
# Cu13Te2
Simulated powder X-ray diffraction pattern, λ = 1.5418 Å (Cu Kα). Input: a GGA-PBE-relaxed structure.
Lines closer than 0.1° are merged.

Top 10 peaks for 2θ from 10° to 90°, in order of falling intensity:
- (2 1 5), 41.43 deg, I 100
- (5 0 -1), 44.08 deg, I 98
- (2 1 6), 43.05 deg, I 83
- (0 0 3), 10.03 deg, I 76
- (1 0 -12), 41.75 deg, I 75
- (3 1 -7), 48.85 deg, I 72
- (3 1 -6), 47.18 deg, I 47
- (2 1 4), 40.05 deg, I 44
- (1 0 -13), 45.27 deg, I 32
- (4 0 11), 52.62 deg, I 27

Cell lengths 10.2850, 2.7169, 26.4513 Å; angles 90.00, 91.11, 90.00 degrees
Space group P2_1/m (No. 11)
Unique sites:
Cu (0.0106, 0.2500, 0.0405)
Cu (0.0290, 0.7500, 0.1210)
Cu (0.0346, 0.2500, 0.2010)
Cu (0.1647, 0.2500, 0.8149)
Cu (0.1725, 0.7500, 0.8967)
Cu (0.1936, 0.2500, 0.9785)
Cu (0.2163, 0.7500, 0.0600)
Cu (0.2362, 0.2500, 0.1403)
Cu (0.3631, 0.7500, 0.8399)
Cu (0.3768, 0.2500, 0.9173)
Cu (0.3997, 0.7500, 0.9967)
Cu (0.4221, 0.2500, 0.0790)
Cu (0.4355, 0.7500, 0.1620)
Te (0.2438, 0.7500, 0.2367)
Te (0.3841, 0.7500, 0.7442)



Record 9
# HoSiHO4
Simulated powder X-ray diffraction pattern, λ = 1.5418 Å (Cu Kα). Input: a GGA-PBE-relaxed structure.
Lines closer than 0.1° are merged.

Top 10 peaks for 2θ from 10° to 90°, in order of falling intensity:
- (0 2 0), 26.89 deg, I 100
- (0 1 1), 22.92 deg, I 96
- (1 1 1), 32.18 deg, I 96
- (1 1 -1), 29.08 deg, I 71
- (1 0 0), 20.09 deg, I 52
- (1 0 -1), 25.71 deg, I 50
- (0 0 2), 37.58 deg, I 49
- (2 1 0), 43.16 deg, I 45
- (1 2 0), 33.80 deg, I 41
- (1 1 -2), 42.95 deg, I 40

Cell lengths 4.4525, 6.6316, 4.8201 Å; angles 90.00, 97.05, 90.00 degrees
Space group P2_1/m (No. 11)
Unique sites:
Ho (0.0714, 0.2500, 0.1962)
Si (0.4307, 0.7500, 0.3112)
H (0.5000, 0.0000, 0.0000)
O (0.2043, 0.2500, 0.6850)
O (0.2861, 0.5563, 0.1178)
O (0.3639, 0.7500, 0.6297)



Record 10
# Zr7N4O8
Simulated powder X-ray diffraction pattern, λ = 1.5418 Å (Cu Kα). Input: a GGA-PBE-relaxed structure.
Lines closer than 0.1° are merged.

Top 10 peaks for 2θ from 10° to 90°, in order of falling intensity:
- (0 1 -2), 30.09 deg, I 100
- (2 0 -1), 30.35 deg, I 97
- (1 2 -1), 35.04 deg, I 51
- (2 1 -3), 50.37 deg, I 30
- (3 1 0), 50.42 deg, I 29
- (3 2 -2), 60.02 deg, I 21
- (1 0 3), 50.03 deg, I 15
- (-3 2 1), 50.72 deg, I 14
- (2 3 0), 59.83 deg, I 12
- (0 2 3), 59.60 deg, I 11

Cell lengths 6.2445, 6.2585, 6.3048 Å; angles 99.62, 99.29, 99.30 degrees
Space group P1 (No. 1)
Unique sites:
Zr (0.0000, 0.0000, 0.0000)
Zr (0.0878, 0.5699, 0.2744)
Zr (0.3037, 0.1621, 0.5496)
Zr (0.3930, 0.7366, 0.7895)
Zr (0.5473, 0.2516, 0.1093)
Zr (0.6843, 0.8790, 0.4197)
Zr (0.8230, 0.4728, 0.7177)
N (0.2705, 0.0489, 0.8422)
N (0.3597, 0.7981, 0.4678)
N (0.6252, 0.2062, 0.4764)
N (0.7640, 0.7968, 0.7319)
O (0.0122, 0.9610, 0.3294)
O (0.1151, 0.4468, 0.5884)
O (0.1164, 0.6787, 0.9839)
O (0.2622, 0.3078, 0.2297)
O (0.5088, 0.4410, 0.8409)
O (0.6042, 0.9284, 0.0866)
O (0.7593, 0.5571, 0.3047)
O (0.8625, 0.2861, 0.9799)



Record 11
# Hg5Cl2O4
Simulated powder X-ray diffraction pattern, λ = 1.5418 Å (Cu Kα). Input: a GGA-PBE-relaxed structure.
Lines closer than 0.1° are merged.

Top 10 peaks for 2θ from 10° to 90°, in order of falling intensity:
- (1 3 2), 31.12 deg, I 100
- (2 0 2), 32.81 deg, I 94
- (0 0 4), 29.89 deg, I 67
- (1 2 1), 22.34 deg, I 56
- (1 3 0), 27.21 deg, I 38
- (1 3 4), 40.86 deg, I 29
- (2 0 6), 54.94 deg, I 26
- (3 3 4), 59.75 deg, I 23
- (1 3 6), 53.84 deg, I 23
- (0 4 4), 43.46 deg, I 21

Cell lengths 6.1359, 11.6307, 11.9566 Å; angles 90.00, 90.00, 90.00 degrees
Space group Ibam (No. 72)
Unique sites:
Hg (0.0000, 0.0000, 0.2500)
Hg (0.0000, 0.3399, 0.2500)
Hg (0.2140, 0.1405, 0.0000)
Cl (0.2249, 0.3932, 0.0000)
O (0.1956, 0.1486, 0.1755)